Simulated powder diffraction line list of BeCo6Ge3 for Cu Kα X-rays, from a crystal structure in Alexandria, relaxed with GGA-PBE.
Neutral-atom scattering factors, no anomalous dispersion.

Cell and atoms:
Cell: 6.911 3.976 8.849 Å, 90.00 112.56 90.00°
Element x y z (fractional)
Be 0.117 0.250 0.078
Be 0.883 0.750 0.922
Co 0.050 0.750 0.194
Co 0.129 0.250 0.578
Co 0.242 0.750 0.996
Co 0.299 0.250 0.361
Co 0.471 0.750 0.317
Co 0.472 0.250 0.161
Co 0.528 0.750 0.839
Co 0.529 0.250 0.683
Co 0.701 0.750 0.639
Co 0.758 0.250 0.004
Co 0.871 0.750 0.422
Co 0.950 0.250 0.806
Ge 0.061 0.750 0.710
Ge 0.314 0.750 0.524
Ge 0.349 0.250 0.875
Ge 0.651 0.750 0.125
Ge 0.686 0.250 0.476
Ge 0.939 0.250 0.290

Peak list (6 most intense, 5° ≤ 2θ ≤ 70°, low angle first)
2θ/deg  Rel. int.  index
40.93  23.9  2 1 1
42.08  44.8  2 0 2
45.63  64.3  0 2 0
45.90  100.0  3 1 -2
47.09  100.0  1 1 -4
63.80  24.3  2 2 2

Simulated powder diffraction line list of BeBiHPbN for Cu Kα X-rays, from a crystal structure in Alexandria, relaxed with GGA-PBE.
Neutral-atom scattering factors, no anomalous dispersion.

Cell and atoms:
Cell: 3.139 5.446 6.088 Å, 64.40 89.68 89.79°
Element x y z (fractional)
Be 0.000 0.000 0.000
Bi 0.997 0.730 0.485
H 0.503 0.084 0.723
Pb 0.505 0.481 0.114
N 0.501 0.014 0.910

Peak list (6 most intense, 5° ≤ 2θ ≤ 70°, low angle first)
2θ/deg  Rel. int.  index
18.06  100.0  0 1 0
29.17  65.4  0 1 -1
29.64  74.8  0 1 2
32.85  97.4  0 2 1
32.93  47.9  1 0 -1
33.91  94.5  1 1 1

Simulated powder diffraction line list of Ba4InAg3 for Cu Kα X-rays, from a crystal structure in Alexandria, relaxed with GGA-PBE.
Neutral-atom scattering factors, no anomalous dispersion.

Cell and atoms:
Cell: 4.756 5.099 12.637 Å, 90.00 90.00 90.00°
Element x y z (fractional)
Ba 0.000 0.000 0.000
Ba 0.000 0.500 0.273
Ba 0.500 0.000 0.490
Ba 0.500 0.500 0.778
In 0.000 0.000 0.702
Ag 0.000 0.500 0.571
Ag 0.500 0.000 0.202
Ag 0.500 0.500 0.073

Peak list (6 most intense, 5° ≤ 2θ ≤ 70°, low angle first)
2θ/deg  Rel. int.  index
26.58  92.6  1 1 1
28.29  58.8  1 0 3
33.40  100.0  1 1 3
35.20  31.0  0 2 0
37.83  25.3  2 0 0
45.75  31.0  1 2 3

Simulated powder diffraction line list of Rb3CdPd2F9 for Cu Kα X-rays, from a crystal structure in Alexandria, relaxed with GGA-PBE.
Neutral-atom scattering factors, no anomalous dispersion.

Cell and atoms:
Cell: 6.223 6.223 7.616 Å, 90.00 90.00 120.00°
Element x y z (fractional)
Rb 0.000 0.000 0.000
Rb 0.333 0.667 0.666
Rb 0.667 0.333 0.334
Cd 0.000 0.000 0.500
Pd 0.333 0.667 0.158
Pd 0.667 0.333 0.842
F 0.000 0.500 0.000
F 0.168 0.336 0.327
F 0.168 0.832 0.327
F 0.336 0.168 0.673
F 0.500 0.000 0.000
F 0.500 0.500 0.000
F 0.664 0.832 0.327
F 0.832 0.168 0.673
F 0.832 0.664 0.673

Peak list (6 most intense, 5° ≤ 2θ ≤ 70°, low angle first)
2θ/deg  Rel. int.  index
20.19  7.8  1 0 1
28.70  100.0  1 1 0
41.03  38.6  2 0 2
50.84  40.5  3 0 0
59.43  23.8  2 2 0
67.31  17.5  3 1 2